Entry 1:
TiFeNiIr: calculated PXRD pattern (Cu Ka), based on a cell relaxed with GGA-PBE.
Kinematic intensities with the Lorentz-polarization factor, no thermal factor.

Crystal structure
Cell: 3.6804 3.7463 3.7968 Å, 90.00 90.00 90.00°
Space group Pmmm (No. 47)
Inequivalent atoms, fractional coordinates:
Ti: 0.0000 0.0000 0.0000 x1
Fe: 0.0000 0.5000 0.5000 x1
Ni: 0.5000 0.0000 0.5000 x1
Ir: 0.5000 0.5000 0.0000 x1

Principal peaks in the range 2θ = 10–80°, sorted by position:
2θ (°), d [Å], I (rel.)
23.43, 3.797, 11
23.75, 3.746, 15
24.18, 3.680, 17
33.61, 2.667, 15
33.92, 2.643, 13
41.83, 2.159, 100
47.92, 1.898, 17
48.61, 1.873, 16
49.53, 1.840, 15
70.65, 1.333, 10

---

Entry 2:
V2FeNiIr2: calculated PXRD pattern (Cu Ka), based on a cell relaxed with GGA-PBE.
Kinematic intensities with the Lorentz-polarization factor, no thermal factor.

Crystal structure
Cell: 5.0865 12.6100 4.9713 Å, 90.00 90.00 90.00°
Space group Ibam (No. 72)
Inequivalent atoms, fractional coordinates:
V: 0.2020 0.1296 0.0000 x8
Fe: 0.0000 0.0000 0.2500 x4
Ni: 0.0000 0.5000 0.2500 x4
Ir: 0.1931 0.3257 0.0000 x8

Principal peaks in the range 2θ = 10–80°, sorted by position:
2θ (°), d [Å], I (rel.)
28.83, 3.097, 51
36.14, 2.486, 24
38.15, 2.359, 100
38.95, 2.312, 39
40.48, 2.229, 39
43.04, 2.102, 30
46.53, 1.952, 22
51.40, 1.778, 34
66.32, 1.409, 21
69.22, 1.357, 19